Structure and simulated XRD peak list of Cs2MnSbBr6 (a cell relaxed with PBE; Cu Kα (weighted mean of Kα1 and Kα2)).

Atomic structure:
Lattice parameters (Å, degrees): 7.9599 7.9599 12.0243 90.00 90.00 90.00
Space group I4/mmm (No. 139)
Symmetry-distinct sites (fractional):
1 Cs 0.0000 0.5000 0.2500 x4
2 Mn 0.0000 0.0000 0.0000 x2
3 Sb 0.0000 0.0000 0.5000 x2
4 Br 0.0000 0.0000 0.2094 x4
5 Br 0.2490 0.2490 0.0000 x8

Top 12 peaks for 10° ≤ 2θ ≤ 90°, in order of rising 2θ:
- (1 1 2), 21.63°, 4.109 Å, I = 48
- (2 0 0), 22.34°, 3.980 Å, I = 19
- (2 0 2), 26.86°, 3.319 Å, I = 100
- (0 0 4), 29.72°, 3.006 Å, I = 45
- (2 2 0), 31.80°, 2.814 Å, I = 90
- (3 1 2), 38.78°, 2.322 Å, I = 21
- (2 2 4), 44.08°, 2.054 Å, I = 60
- (4 0 0), 45.58°, 1.990 Å, I = 33
- (4 2 2), 53.71°, 1.707 Å, I = 28
- (4 0 4), 55.37°, 1.659 Å, I = 30
- (6 2 0), 75.55°, 1.259 Å, I = 14
- (6 2 4), 83.22°, 1.161 Å, I = 19